Record 1
Simulated X-ray diffraction stick pattern of Tb2PmCd3 for λ = 1.5418 Å (Cu Kα), from the GGA-PBE geometry in Alexandria.

Crystal structure
```
data_Tb2PmCd3
_chemical_formula_sum 'Tb8 Pm4 Cd12'
_symmetry_space_group_name_H-M 'C m m m'
_symmetry_Int_Tables_number 65
_symmetry_space_group_name_Hall '-C 2 2'
_cell_length_a 5.326
_cell_length_b 15.985
_cell_length_c 7.632
_cell_angle_alpha 90.00
_cell_angle_beta 90.00
_cell_angle_gamma 90.00
loop_
_atom_site_label
_atom_site_type_symbol
_atom_site_fract_x
_atom_site_fract_y
_atom_site_fract_z
_atom_site_occupancy
Tb1 Tb 0.000 0.000 0.000 1
Tb2 Tb 0.000 0.000 0.500 1
Tb3 Tb 0.000 0.332 0.000 1
Pm1 Pm 0.000 0.334 0.500 1
Cd1 Cd 0.000 0.165 0.243 1
Cd2 Cd 0.000 0.500 0.243 1
```

The 8 most intense peaks (10 to 90 degrees two-theta), low angle first:
2θ/deg, intensity, index
33.43, 100, 1 3 2
33.65, 49, 2 0 0
47.66, 9, 0 0 4
48.32, 18, 2 6 0
59.61, 18, 2 0 4
60.03, 36, 3 3 2
70.22, 11, 2 6 4
79.54, 8, 1 3 6

Record 2
Simulated X-ray diffraction stick pattern of Tb2Ag5 for λ = 1.5418 Å (Cu Kα), from the GGA-PBE geometry in Alexandria.

Crystal structure
```
data_Tb2Ag5
_chemical_formula_sum 'Tb8 Ag20'
_symmetry_space_group_name_H-M 'I b a m'
_symmetry_Int_Tables_number 72
_symmetry_space_group_name_Hall '-I 2 2c'
_cell_length_a 7.627
_cell_length_b 13.094
_cell_length_c 6.090
_cell_angle_alpha 90.00
_cell_angle_beta 90.00
_cell_angle_gamma 90.00
loop_
_atom_site_label
_atom_site_type_symbol
_atom_site_fract_x
_atom_site_fract_y
_atom_site_fract_z
_atom_site_occupancy
Tb1 Tb 0.183 0.102 0.000 1
Ag1 Ag 0.000 0.279 0.250 1
Ag2 Ag 0.000 0.500 0.250 1
Ag3 Ag 0.221 0.134 0.500 1
```

The 8 most intense peaks (10 to 90 degrees two-theta), low angle first:
2θ/deg, intensity, index
32.39, 51, 1 1 2
35.99, 45, 3 1 0
36.16, 86, 2 4 0
36.27, 38, 1 5 0
37.81, 100, 2 0 2
40.46, 84, 0 4 2
59.03, 39, 3 5 2
72.89, 30, 2 4 4

Record 3
Simulated X-ray diffraction stick pattern of PmDy2Er12 for λ = 1.5418 Å (Cu Kα), from the GGA-PBE geometry in Alexandria.

Crystal structure
```
data_PmDy2Er12
_chemical_formula_sum 'Pm4 Dy8 Er48'
_symmetry_space_group_name_H-M 'C 1 2/m 1'
_symmetry_Int_Tables_number 12
_cell_length_a 7.177
_cell_length_b 11.252
_cell_length_c 23.322
_cell_angle_alpha 90.00
_cell_angle_beta 94.42
_cell_angle_gamma 90.00
loop_
_symmetry_equiv_pos_as_xyz
'x,y,z'
'-x,-y,-z'
'-x,y,-z'
'x,-y,z'
'x+1/2,y+1/2,z'
'-x+1/2,-y+1/2,-z'
'-x+1/2,y+1/2,-z'
'x+1/2,-y+1/2,z'
loop_
_atom_site_label
_atom_site_type_symbol
_atom_site_fract_x
_atom_site_fract_y
_atom_site_fract_z
_atom_site_occupancy
Pm1 Pm 0.250 0.000 0.000 1
Dy1 Dy 0.179 0.000 0.714 1
Dy2 Dy 0.179 0.500 0.714 1
Er1 Er 0.019 0.250 0.068 1
Er2 Er 0.036 0.000 0.149 1
Er3 Er 0.036 0.500 0.149 1
Er4 Er 0.081 0.250 0.323 1
Er5 Er 0.106 0.000 0.426 1
Er6 Er 0.108 0.500 0.426 1
Er7 Er 0.139 0.251 0.557 1
Er8 Er 0.201 0.250 0.806 1
```

The 8 most intense peaks (10 to 90 degrees two-theta), low angle first:
2θ/deg, intensity, index
30.32, 16, 2 0 4
30.76, 15, 0 0 8
31.27, 32, 0 2 7
31.81, 47, 0 4 0
32.52, 100, 2 2 -4
34.35, 28, 2 2 4
34.74, 17, 0 2 8
57.13, 20, 2 6 -4

Record 4
Simulated X-ray diffraction stick pattern of NaIn4PbS8 for λ = 1.5418 Å (Cu Kα), from the GGA-PBE geometry in Alexandria.

Crystal structure
```
data_NaIn4PbS8
_chemical_formula_sum 'Na3 In12 Pb3 S24'
_symmetry_space_group_name_H-M 'R 3 m'
_symmetry_Int_Tables_number 160
_symmetry_space_group_name_Hall 'R 3 -2"'
_cell_length_a 7.8817
_cell_length_b 7.8817
_cell_length_c 19.4226
_cell_angle_alpha 90.00
_cell_angle_beta 90.00
_cell_angle_gamma 120.00
loop_
_atom_site_label
_atom_site_type_symbol
_atom_site_fract_x
_atom_site_fract_y
_atom_site_fract_z
_atom_site_occupancy
Na1 Na 0.0000 0.0000 0.0000 1
In1 In 0.0000 0.0000 0.6146 1
In2 In 0.0015 0.5007 0.5013 1
Pb1 Pb 0.0000 0.0000 0.3834 1
S1 S 0.0000 0.0000 0.2408 1
S2 S 0.0000 0.0000 0.7549 1
S3 S 0.0327 0.5163 0.7600 1
S4 S 0.1768 0.3537 0.5779 1
```

The 8 most intense peaks (10 to 90 degrees two-theta), low angle first:
2θ/deg, intensity, index
13.71, 25, 0 0 3
22.49, 85, 1 0 4
26.45, 100, 0 1 5
26.52, 80, 0 2 1
39.56, 33, 2 1 4
42.01, 54, 0 2 7
45.87, 46, 2 0 8
46.06, 50, 2 2 0

Record 5
Simulated X-ray diffraction stick pattern of Sr3Ge3Au8 for λ = 1.5418 Å (Cu Kα), from the GGA-PBE geometry in Alexandria.

Crystal structure
```
data_Sr3Ge3Au8
_chemical_formula_sum 'Sr6 Ge6 Au16'
_symmetry_space_group_name_H-M 'C 1 2/m 1'
_symmetry_Int_Tables_number 12
_cell_length_a 16.888
_cell_length_b 4.691
_cell_length_c 9.381
_cell_angle_alpha 90.00
_cell_angle_beta 122.55
_cell_angle_gamma 90.00
loop_
_symmetry_equiv_pos_as_xyz
'x,y,z'
'-x,-y,-z'
'-x,y,-z'
'x,-y,z'
'x+1/2,y+1/2,z'
'-x+1/2,-y+1/2,-z'
'-x+1/2,y+1/2,-z'
'x+1/2,-y+1/2,z'
loop_
_atom_site_label
_atom_site_type_symbol
_atom_site_fract_x
_atom_site_fract_y
_atom_site_fract_z
_atom_site_occupancy
Sr1 Sr 0.000 0.000 0.000 1
Sr2 Sr 0.205 0.500 0.725 1
Ge1 Ge 0.000 0.000 0.500 1
Ge2 Ge 0.170 0.500 0.323 1
Au1 Au 0.010 0.500 0.324 1
Au2 Au 0.122 0.000 0.838 1
Au3 Au 0.141 0.000 0.422 1
Au4 Au 0.151 0.500 0.030 1
```

The 8 most intense peaks (10 to 90 degrees two-theta), low angle first:
2θ/deg, intensity, index
18.92, 49, 2 0 -2
32.71, 42, 1 1 2
32.85, 55, 3 1 1
33.18, 100, 5 1 -2
36.57, 41, 1 1 -3
36.94, 39, 5 1 0
38.38, 81, 0 2 0
43.46, 42, 7 1 -3

Record 6
Simulated X-ray diffraction stick pattern of Ba5HgRh for λ = 1.5418 Å (Cu Kα), from the GGA-PBE geometry in Alexandria.

Crystal structure
```
data_Ba5HgRh
_chemical_formula_sum 'Ba10 Hg2 Rh2'
_symmetry_space_group_name_H-M 'P 1 21/m 1'
_symmetry_Int_Tables_number 11
_cell_length_a 10.391
_cell_length_b 4.734
_cell_length_c 13.655
_cell_angle_alpha 90.00
_cell_angle_beta 91.78
_cell_angle_gamma 90.00
loop_
_symmetry_equiv_pos_as_xyz
'x,y,z'
'-x,-y,-z'
'-x,y+1/2,-z'
'x,-y+1/2,z'
loop_
_atom_site_label
_atom_site_type_symbol
_atom_site_fract_x
_atom_site_fract_y
_atom_site_fract_z
_atom_site_occupancy
Ba1 Ba 0.023 0.250 0.361 1
Ba2 Ba 0.140 0.750 0.932 1
Ba3 Ba 0.314 0.250 0.707 1
Ba4 Ba 0.353 0.750 0.436 1
Ba5 Ba 0.365 0.250 0.159 1
Hg1 Hg 0.081 0.750 0.183 1
Rh1 Rh 0.486 0.750 0.655 1
```

The 8 most intense peaks (10 to 90 degrees two-theta), low angle first:
2θ/deg, intensity, index
10.54, 56, 1 0 -1
24.58, 77, 1 1 2
25.46, 36, 2 1 0
26.16, 99, 2 1 -1
26.44, 40, 2 0 3
27.23, 54, 1 0 -4
28.42, 100, 2 1 -2
38.02, 59, 0 2 0

Record 7
Simulated X-ray diffraction stick pattern of RbCo2I for λ = 1.5418 Å (Cu Kα), from the GGA-PBE geometry in Alexandria.

Crystal structure
```
data_RbCo2I
_chemical_formula_sum 'Rb4 Co8 I4'
_symmetry_space_group_name_H-M 'I 41/a m d'
_symmetry_Int_Tables_number 141
_cell_length_a 5.103
_cell_length_b 5.103
_cell_length_c 16.885
_cell_angle_alpha 90.00
_cell_angle_beta 90.00
_cell_angle_gamma 90.00
loop_
_symmetry_equiv_pos_as_xyz
'x,y,z'
'-x,-y,-z'
'-y+1/4,x+3/4,z+1/4'
'y+1/4,-x+3/4,-z+1/4'
'-x+1/2,-y,z+1/2'
'x+1/2,y,-z+1/2'
'y+1/4,-x+1/4,z+3/4'
'-y+1/4,x+1/4,-z+3/4'
'x,-y,-z'
'-x,y,z'
'-y+1/4,-x+1/4,-z+3/4'
'y+1/4,x+1/4,z+3/4'
'-x+1/2,y,-z+1/2'
'x+1/2,-y,z+1/2'
'y+1/4,x+3/4,-z+1/4'
'-y+1/4,-x+3/4,z+1/4'
'x+1/2,y+1/2,z+1/2'
'-x+1/2,-y+1/2,-z+1/2'
'-y+3/4,x+1/4,z+3/4'
'y+3/4,-x+1/4,-z+3/4'
'-x,-y+1/2,z'
'x,y+1/2,-z'
'y+3/4,-x+3/4,z+1/4'
'-y+3/4,x+3/4,-z+1/4'
'x+1/2,-y+1/2,-z+1/2'
'-x+1/2,y+1/2,z+1/2'
'-y+3/4,-x+3/4,-z+1/4'
'y+3/4,x+3/4,z+1/4'
'-x,y+1/2,-z'
'x,-y+1/2,z'
'y+3/4,x+1/4,-z+3/4'
'-y+3/4,-x+1/4,z+3/4'
loop_
_atom_site_label
_atom_site_type_symbol
_atom_site_fract_x
_atom_site_fract_y
_atom_site_fract_z
_atom_site_occupancy
Rb1 Rb 0.000 0.250 0.375 1
Co1 Co 0.000 0.000 0.000 1
I1 I 0.000 0.250 0.875 1
```

The 8 most intense peaks (10 to 90 degrees two-theta), low angle first:
2θ/deg, intensity, index
18.16, 47, 1 0 1
26.87, 100, 1 1 2
35.18, 24, 2 0 0
40.66, 32, 1 1 6
41.36, 36, 2 0 4
42.81, 27, 0 0 8
55.38, 32, 2 2 4
58.21, 22, 3 1 2

Record 8
Simulated X-ray diffraction stick pattern of Ac3ZnAg6Hg2 for λ = 1.5418 Å (Cu Kα), from the GGA-PBE geometry in Alexandria.

Crystal structure
```
data_Ac3ZnAg6Hg2
_chemical_formula_sum 'Ac3 Zn1 Ag6 Hg2'
_symmetry_space_group_name_H-M 'P -3 m 1'
_symmetry_Int_Tables_number 164
_symmetry_space_group_name_Hall '-P 3 2"'
_cell_length_a 6.2215
_cell_length_b 6.2215
_cell_length_c 9.2376
_cell_angle_alpha 90.00
_cell_angle_beta 90.00
_cell_angle_gamma 120.00
loop_
_atom_site_label
_atom_site_type_symbol
_atom_site_fract_x
_atom_site_fract_y
_atom_site_fract_z
_atom_site_occupancy
Ac1 Ac 0.0000 0.0000 0.0000 1
Ac2 Ac 0.3333 0.6667 0.6074 1
Zn1 Zn 0.0000 0.0000 0.5000 1
Ag1 Ag 0.1782 0.3564 0.2816 1
Hg1 Hg 0.3333 0.6667 0.9872 1
```

The 8 most intense peaks (10 to 90 degrees two-theta), low angle first:
2θ/deg, intensity, index
28.70, 41, 1 1 0
29.00, 20, 0 0 3
33.52, 26, 0 1 3
34.73, 100, 0 2 1
38.69, 18, 2 0 2
54.85, 16, 0 3 2
58.07, 17, 1 1 5
59.42, 19, 2 2 0